Record 1
Cu2SnSe3: computed X-ray powder pattern (a wavelength of 1.5418 Å), based on a GGA-PBE-relaxed structure.
Intensities are scaled so that the largest is 100.

```
data_Cu2SnSe3
_chemical_formula_sum 'Cu32 Sn16 Se48'
_cell_length_a 8.1721
_cell_length_b 24.3603
_cell_length_c 11.4749
_cell_angle_alpha 90.00
_cell_angle_beta 90.00
_cell_angle_gamma 90.00
_symmetry_space_group_name_H-M 'F d d 2'
_symmetry_Int_Tables_number 43
_symmetry_space_group_name_Hall 'F 2 -2d'
loop_
_atom_site_label
_atom_site_type_symbol
_atom_site_fract_x
_atom_site_fract_y
_atom_site_fract_z
_atom_site_occupancy
Cu1 Cu 0.0000 0.0000 0.0000 1
Cu2 Cu 0.0000 0.0000 0.4906 1
Cu3 Cu 0.0107 0.3331 0.5032 1
Sn1 Sn 0.0125 0.1701 0.4988 1
Se1 Se 0.0032 0.2446 0.1332 1
Se2 Se 0.0164 0.4220 0.1262 1
Se3 Se 0.0174 0.0834 0.1141 1
```

Principal peaks in the range 5 to 70 degrees two-theta, sorted by position:
(hkl)	d (Å)	I (rel.)
2 0 2	3.328	83
0 6 2	3.314	84
4 0 0	2.043	20
2 6 4	2.032	100
4 6 2	1.739	23
2 0 6	1.732	47


Record 2
Bi3O7: computed X-ray powder pattern (a wavelength of 1.5418 Å), based on a GGA-PBE-relaxed structure.
Intensities are scaled so that the largest is 100.

```
data_Bi3O7
_chemical_formula_sum 'Bi12 O28'
_cell_length_a 7.9392
_cell_length_b 12.0818
_cell_length_c 6.9093
_cell_angle_alpha 90.00
_cell_angle_beta 90.00
_cell_angle_gamma 90.00
_symmetry_space_group_name_H-M 'P n m a'
_symmetry_Int_Tables_number 62
_symmetry_space_group_name_Hall '-P 2ac 2n'
loop_
_atom_site_label
_atom_site_type_symbol
_atom_site_fract_x
_atom_site_fract_y
_atom_site_fract_z
_atom_site_occupancy
Bi1 Bi 0.2345 0.2500 0.2431 1
Bi2 Bi 0.2447 0.0371 0.7419 1
O1 O 0.0070 0.5834 0.3166 1
O2 O 0.0126 0.7500 0.6522 1
O3 O 0.2012 0.1070 0.0507 1
O4 O 0.2155 0.6083 0.9382 1
```

Principal peaks in the range 5 to 70 degrees two-theta, sorted by position:
(hkl)	d (Å)	I (rel.)
2 0 0	3.970	100
0 3 1	3.479	93
0 0 2	3.455	64
2 3 1	2.617	59
2 0 2	2.606	52
2 4 2	1.973	38


Record 3
TmFe2SiC: computed X-ray powder pattern (a wavelength of 1.5418 Å), based on a GGA-PBE-relaxed structure.
Intensities are scaled so that the largest is 100.

```
data_TmFe2SiC
_chemical_formula_sum 'Tm4 Fe8 Si4 C4'
_cell_length_a 3.6892
_cell_length_b 10.4253
_cell_length_c 6.7295
_cell_angle_alpha 90.00
_cell_angle_beta 90.00
_cell_angle_gamma 90.00
_symmetry_space_group_name_H-M 'C m c m'
_symmetry_Int_Tables_number 63
_symmetry_space_group_name_Hall '-C 2c 2'
loop_
_atom_site_label
_atom_site_type_symbol
_atom_site_fract_x
_atom_site_fract_y
_atom_site_fract_z
_atom_site_occupancy
Tm1 Tm 0.0000 0.0474 0.2500 1
Fe1 Fe 0.0000 0.3346 0.0619 1
Si1 Si 0.0000 0.2323 0.7500 1
C1 C 0.0000 0.5000 0.0000 1
```

Principal peaks in the range 5 to 70 degrees two-theta, sorted by position:
(hkl)	d (Å)	I (rel.)
0 2 2	2.827	32
1 3 0	2.530	50
0 4 1	2.430	46
1 1 2	2.418	100
1 3 1	2.368	51
0 2 3	2.060	32


Record 4
Cd2InCuTe4: computed X-ray powder pattern (a wavelength of 1.5418 Å), based on a GGA-PBE-relaxed structure.
Intensities are scaled so that the largest is 100.

```
data_Cd2InCuTe4
_chemical_formula_sum 'Cd4 In2 Cu2 Te8'
_cell_length_a 6.4614
_cell_length_b 6.4614
_cell_length_c 12.8890
_cell_angle_alpha 90.00
_cell_angle_beta 90.00
_cell_angle_gamma 90.00
_symmetry_space_group_name_H-M 'I -4 2 m'
_symmetry_Int_Tables_number 121
_symmetry_space_group_name_Hall 'I -4 2'
loop_
_atom_site_label
_atom_site_type_symbol
_atom_site_fract_x
_atom_site_fract_y
_atom_site_fract_z
_atom_site_occupancy
Cd1 Cd 0.0000 0.5000 0.2500 1
In1 In 0.0000 0.0000 0.0000 1
Cu1 Cu 0.0000 0.0000 0.5000 1
Te1 Te 0.2350 0.2350 0.3828 1
```

Principal peaks in the range 5 to 70 degrees two-theta, sorted by position:
(hkl)	d (Å)	I (rel.)
1 1 2	3.727	100
2 2 0	2.282	77
3 1 2	1.946	46
4 0 0	1.615	8
0 0 8	1.611	4
3 3 2	1.481	18